This entry pairs a crystal structure of NdGa3Ni with its computed PXRD pattern. Radiation: CuKα. Structure: a PBE-relaxed structure.
Intensities are scaled so that the largest is 100.

Principal peaks in the range 2θ = 10–90°, most intense first:
2θ 34.88, I = 100.0
2θ 33.18, I = 74.1
2θ 43.59, I = 57.1
2θ 55.86, I = 33.1
2θ 47.95, I = 33.0
2θ 66.79, I = 24.0
2θ 74.40, I = 20.9
2θ 30.44, I = 19.2
2θ 63.35, I = 18.2
2θ 86.83, I = 14.6
2θ 60.93, I = 14.1
2θ 45.98, I = 10.1

Cell and atoms:
Lattice parameters (Å, degrees): 6.0870 6.0870 6.0870 140.11 140.11 57.68
Fractional coordinates of all 5 atoms:
Nd 0.0000 0.0000 0.0000
Ga 0.3808 0.3808 0.0000
Ga 0.6192 0.6192 0.0000
Ga 0.7500 0.2500 0.5000
Ni 0.2500 0.7500 0.5000